This entry pairs a crystal structure of DyYB12 with its calculated XRD peak list. Radiation: Cu Kα (weighted mean of Kα1 and Kα2). Structure: a crystal structure in Alexandria, relaxed with PBE.
Neutral-atom scattering factors, no anomalous dispersion.

Principal peaks in the range 2θ = 15–90°, sorted by position:
21.69 deg, intensity 59.8; 30.86 deg, intensity 100.0; 38.03 deg, intensity 42.8; 44.20 deg, intensity 21.7; 49.75 deg, intensity 48.6; 54.88 deg, intensity 25.3; 68.71 deg, intensity 27.8; 73.01 deg, intensity 20.0; 77.20 deg, intensity 12.3; 89.48 deg, intensity 17.1

Atomic structure:
Unit cell a=4.097 b=4.097 c=8.199 alpha=90.00 beta=90.00 gamma=90.00
Fractional positions:
Dy: 0.000 0.000 0.000
Y: 0.000 0.000 0.500
B: 0.199 0.500 0.250
B: 0.199 0.500 0.750
B: 0.500 0.199 0.250
B: 0.500 0.199 0.750
B: 0.500 0.500 0.099
B: 0.500 0.500 0.401
B: 0.500 0.500 0.599
B: 0.500 0.500 0.901
B: 0.500 0.801 0.250
B: 0.500 0.801 0.750
B: 0.801 0.500 0.250
B: 0.801 0.500 0.750

This entry pairs a crystal structure of Nd3Al3Zn2 with its calculated XRD peak list. Radiation: Cu Kα (weighted mean of Kα1 and Kα2). Structure: a crystal structure in Alexandria, relaxed with PBE.
Neutral-atom scattering factors, no anomalous dispersion.

Principal peaks in the range 2θ = 15–90°, sorted by position:
21.82 deg, intensity 20.3; 24.13 deg, intensity 63.2; 31.72 deg, intensity 100.0; 32.15 deg, intensity 74.5; 33.20 deg, intensity 20.5; 35.57 deg, intensity 23.1; 36.37 deg, intensity 27.8; 39.21 deg, intensity 39.2; 39.74 deg, intensity 31.7; 53.28 deg, intensity 26.2

Atomic structure:
Unit cell a=5.865 b=5.865 c=15.145 alpha=90.00 beta=90.00 gamma=133.87
Fractional positions:
Nd: 0.097 0.903 0.610
Nd: 0.097 0.903 0.890
Nd: 0.376 0.624 0.750
Nd: 0.624 0.376 0.250
Nd: 0.903 0.097 0.110
Nd: 0.903 0.097 0.390
Al: 0.326 0.674 0.250
Al: 0.386 0.614 0.537
Al: 0.386 0.614 0.963
Al: 0.614 0.386 0.037
Al: 0.614 0.386 0.463
Al: 0.674 0.326 0.750
Zn: 0.201 0.799 0.098
Zn: 0.201 0.799 0.402
Zn: 0.799 0.201 0.598
Zn: 0.799 0.201 0.902

This entry pairs a crystal structure of Ce3Mn2Ge7 with its calculated XRD peak list. Radiation: Cu Kα (weighted mean of Kα1 and Kα2). Structure: a crystal structure in Alexandria, relaxed with PBE.
Neutral-atom scattering factors, no anomalous dispersion.

Principal peaks in the range 2θ = 15–90°, sorted by position:
34.46 deg, intensity 100.0; 35.13 deg, intensity 30.3; 38.05 deg, intensity 12.1; 38.67 deg, intensity 12.3; 42.18 deg, intensity 25.8; 42.30 deg, intensity 25.6; 56.02 deg, intensity 15.5; 61.27 deg, intensity 16.6; 69.95 deg, intensity 12.4; 72.14 deg, intensity 11.5

Atomic structure:
Unit cell a=4.285 b=4.273 c=12.938 alpha=90.00 beta=99.51 gamma=90.00
Fractional positions:
Ce: 0.000 0.000 0.000
Ce: 0.316 0.500 0.633
Ce: 0.684 0.500 0.367
Mn: 0.126 0.000 0.254
Mn: 0.874 0.000 0.746
Ge: 0.087 0.500 0.175
Ge: 0.219 0.000 0.439
Ge: 0.412 0.000 0.824
Ge: 0.500 0.500 0.000
Ge: 0.588 0.000 0.176
Ge: 0.781 0.000 0.561
Ge: 0.913 0.500 0.825

This entry pairs a crystal structure of Zr2Ti3Ni4 with its calculated XRD peak list. Radiation: Cu Kα (weighted mean of Kα1 and Kα2). Structure: a crystal structure in Alexandria, relaxed with PBE.
Neutral-atom scattering factors, no anomalous dispersion.

Principal peaks in the range 2θ = 15–90°, sorted by position:
34.78 deg, intensity 46.0; 37.11 deg, intensity 41.2; 38.16 deg, intensity 33.5; 38.29 deg, intensity 84.4; 38.74 deg, intensity 100.0; 39.21 deg, intensity 39.0; 39.55 deg, intensity 36.3; 40.62 deg, intensity 29.2; 43.86 deg, intensity 66.0; 47.43 deg, intensity 35.6

Atomic structure:
Unit cell a=7.501 b=6.044 c=6.594 alpha=90.00 beta=109.40 gamma=90.00
Fractional positions:
Zr: 0.193 0.170 0.066
Zr: 0.193 0.330 0.566
Zr: 0.807 0.670 0.434
Zr: 0.807 0.830 0.934
Ti: 0.240 0.671 0.227
Ti: 0.240 0.829 0.727
Ti: 0.500 0.000 0.500
Ti: 0.500 0.500 0.000
Ti: 0.760 0.171 0.273
Ti: 0.760 0.329 0.773
Ni: 0.064 0.545 0.847
Ni: 0.064 0.955 0.347
Ni: 0.500 0.126 0.863
Ni: 0.500 0.374 0.363
Ni: 0.500 0.626 0.637
Ni: 0.500 0.874 0.137
Ni: 0.936 0.045 0.653
Ni: 0.936 0.455 0.153

This entry pairs a crystal structure of Ba4LiAg2 with its calculated XRD peak list. Radiation: Cu Kα (weighted mean of Kα1 and Kα2). Structure: a crystal structure in Alexandria, relaxed with PBE.
Neutral-atom scattering factors, no anomalous dispersion.

Principal peaks in the range 2θ = 15–90°, sorted by position:
22.31 deg, intensity 37.4; 26.87 deg, intensity 100.0; 27.25 deg, intensity 26.9; 27.83 deg, intensity 24.6; 27.99 deg, intensity 24.3; 32.66 deg, intensity 19.3; 33.15 deg, intensity 27.3; 33.29 deg, intensity 27.8; 35.77 deg, intensity 26.7; 38.33 deg, intensity 22.8

Atomic structure:
Unit cell a=8.567 b=8.567 c=9.392 alpha=105.64 beta=105.64 gamma=71.76
Fractional positions:
Ba: 0.000 0.000 0.000
Ba: 0.002 0.002 0.511
Ba: 0.019 0.541 0.145
Ba: 0.030 0.548 0.652
Ba: 0.514 0.514 0.011
Ba: 0.517 0.517 0.514
Ba: 0.541 0.019 0.145
Ba: 0.548 0.030 0.652
Li: 0.205 0.205 0.860
Li: 0.216 0.216 0.362
Ag: 0.328 0.837 0.796
Ag: 0.713 0.713 0.862
Ag: 0.724 0.724 0.370
Ag: 0.837 0.328 0.796

This entry pairs a crystal structure of CeBOsC with its calculated XRD peak list. Radiation: Cu Kα (weighted mean of Kα1 and Kα2). Structure: a crystal structure in Alexandria, relaxed with PBE.
Neutral-atom scattering factors, no anomalous dispersion.

Principal peaks in the range 2θ = 15–90°, sorted by position:
26.39 deg, intensity 34.9; 32.91 deg, intensity 26.5; 33.79 deg, intensity 46.3; 35.87 deg, intensity 100.0; 41.06 deg, intensity 67.9; 48.83 deg, intensity 36.2; 58.07 deg, intensity 27.9; 60.70 deg, intensity 34.5; 82.70 deg, intensity 18.4; 85.95 deg, intensity 16.8

Atomic structure:
Unit cell a=3.730 b=3.730 c=7.958 alpha=90.00 beta=90.00 gamma=90.00
Fractional positions:
Ce: 0.250 0.250 0.164
Ce: 0.750 0.750 0.836
B: 0.250 0.250 0.663
B: 0.750 0.750 0.337
Os: 0.250 0.750 0.500
Os: 0.750 0.250 0.500
C: 0.250 0.250 0.860
C: 0.750 0.750 0.140

This entry pairs a crystal structure of RbMn2NiI8 with its calculated XRD peak list. Radiation: Cu Kα (weighted mean of Kα1 and Kα2). Structure: a crystal structure in Alexandria, relaxed with PBE.
Neutral-atom scattering factors, no anomalous dispersion.

Principal peaks in the range 2θ = 15–90°, sorted by position:
17.91 deg, intensity 18.2; 23.96 deg, intensity 75.2; 25.09 deg, intensity 82.0; 26.35 deg, intensity 100.0; 29.85 deg, intensity 73.3; 34.96 deg, intensity 66.0; 41.19 deg, intensity 50.6; 44.20 deg, intensity 58.6; 50.89 deg, intensity 47.4; 55.87 deg, intensity 18.6

Atomic structure:
Unit cell a=11.874 b=11.874 c=11.874 alpha=34.79 beta=34.79 gamma=34.79
Fractional positions:
Rb: 0.000 0.000 0.000
Mn: 0.243 0.243 0.243
Mn: 0.757 0.757 0.757
Ni: 0.500 0.500 0.500
I: 0.147 0.434 0.754
I: 0.246 0.566 0.853
I: 0.322 0.322 0.322
I: 0.434 0.754 0.147
I: 0.566 0.853 0.246
I: 0.678 0.678 0.678
I: 0.754 0.147 0.434
I: 0.853 0.246 0.566

This entry pairs a crystal structure of CsBaNi2Cl8 with its calculated XRD peak list. Radiation: Cu Kα (weighted mean of Kα1 and Kα2). Structure: a crystal structure in Alexandria, relaxed with PBE.
Neutral-atom scattering factors, no anomalous dispersion.

Principal peaks in the range 2θ = 15–90°, sorted by position:
15.33 deg, intensity 26.4; 17.53 deg, intensity 40.0; 22.95 deg, intensity 100.0; 26.71 deg, intensity 46.7; 28.07 deg, intensity 28.6; 31.82 deg, intensity 42.2; 35.50 deg, intensity 25.8; 44.02 deg, intensity 37.8; 44.97 deg, intensity 30.6; 47.17 deg, intensity 32.0

Atomic structure:
Unit cell a=6.675 b=6.675 c=10.448 alpha=90.00 beta=90.00 gamma=120.00
Fractional positions:
Cs: 0.000 0.000 0.000
Ba: 0.000 0.000 0.500
Ni: 0.333 0.667 0.757
Ni: 0.667 0.333 0.243
Cl: 0.009 0.357 0.693
Cl: 0.333 0.667 0.964
Cl: 0.348 0.991 0.693
Cl: 0.357 0.348 0.307
Cl: 0.643 0.652 0.693
Cl: 0.652 0.009 0.307
Cl: 0.667 0.333 0.036
Cl: 0.991 0.643 0.307

This entry pairs a crystal structure of LaSm5 with its calculated XRD peak list. Radiation: Cu Kα (weighted mean of Kα1 and Kα2). Structure: a crystal structure in Alexandria, relaxed with PBE.
Neutral-atom scattering factors, no anomalous dispersion.

Principal peaks in the range 2θ = 15–90°, sorted by position:
29.96 deg, intensity 100.0; 34.73 deg, intensity 50.7; 49.93 deg, intensity 36.3; 59.32 deg, intensity 36.1; 59.39 deg, intensity 7.2; 62.25 deg, intensity 12.5; 73.27 deg, intensity 3.8; 81.13 deg, intensity 14.7; 81.27 deg, intensity 2.9; 83.71 deg, intensity 13.7

Atomic structure:
Unit cell a=6.329 b=6.329 c=7.297 alpha=106.73 beta=106.73 gamma=48.22
Fractional positions:
La: 0.000 0.000 0.000
Sm: 0.000 0.000 0.500
Sm: 0.332 0.332 0.665
Sm: 0.334 0.334 0.168
Sm: 0.666 0.666 0.832
Sm: 0.668 0.668 0.335

This entry pairs a crystal structure of La2Sm2Tm5 with its calculated XRD peak list. Radiation: Cu Kα (weighted mean of Kα1 and Kα2). Structure: a crystal structure in Alexandria, relaxed with PBE.
Neutral-atom scattering factors, no anomalous dispersion.

Principal peaks in the range 2θ = 15–90°, sorted by position:
28.30 deg, intensity 73.8; 30.06 deg, intensity 100.0; 30.53 deg, intensity 70.9; 30.80 deg, intensity 66.7; 32.84 deg, intensity 68.6; 32.98 deg, intensity 54.3; 35.58 deg, intensity 57.9; 37.65 deg, intensity 41.1; 39.50 deg, intensity 29.7; 58.54 deg, intensity 25.7

Atomic structure:
Unit cell a=10.134 b=10.134 c=10.134 alpha=84.78 beta=108.15 gamma=141.21
Fractional positions:
La: 0.000 0.127 0.127
La: 0.000 0.373 0.373
La: 0.000 0.627 0.627
La: 0.000 0.873 0.873
Sm: 0.444 0.203 0.740
Sm: 0.463 0.703 0.260
Sm: 0.543 0.043 0.500
Sm: 0.543 0.543 0.000
Tm: 0.114 0.411 0.809
Tm: 0.114 0.805 0.203
Tm: 0.391 0.898 0.993
Tm: 0.439 0.314 0.410
Tm: 0.439 0.529 0.625
Tm: 0.602 0.305 0.191
Tm: 0.602 0.911 0.797
Tm: 0.904 0.029 0.590
Tm: 0.904 0.814 0.375
Tm: 0.905 0.398 0.007

This entry pairs a crystal structure of CoMo2 with its calculated XRD peak list. Radiation: Cu Kα (weighted mean of Kα1 and Kα2). Structure: a crystal structure in Alexandria, relaxed with PBE.
Neutral-atom scattering factors, no anomalous dispersion.

Principal peaks in the range 2θ = 15–90°, sorted by position:
23.95 deg, intensity 3.2; 29.94 deg, intensity 2.1; 40.80 deg, intensity 100.0; 45.59 deg, intensity 17.0; 48.39 deg, intensity 30.6; 68.67 deg, intensity 19.1; 70.85 deg, intensity 9.5; 80.99 deg, intensity 11.1; 85.12 deg, intensity 22.8; 88.40 deg, intensity 10.0

Atomic structure:
Unit cell a=12.232 b=12.232 c=12.232 alpha=162.31 beta=162.31 gamma=25.12
Fractional positions:
Co: 0.287 0.537 0.750
Co: 0.463 0.713 0.750
Co: 0.537 0.287 0.250
Co: 0.713 0.463 0.250
Mo: 0.038 0.788 0.250
Mo: 0.123 0.373 0.750
Mo: 0.212 0.962 0.250
Mo: 0.373 0.123 0.250
Mo: 0.627 0.877 0.750
Mo: 0.788 0.038 0.750
Mo: 0.877 0.627 0.250
Mo: 0.962 0.212 0.750

This entry pairs a crystal structure of PrGaNi2Pt2 with its calculated XRD peak list. Radiation: Cu Kα (weighted mean of Kα1 and Kα2). Structure: a crystal structure in Alexandria, relaxed with PBE.
Neutral-atom scattering factors, no anomalous dispersion.

Principal peaks in the range 2θ = 15–90°, sorted by position:
16.18 deg, intensity 70.3; 31.62 deg, intensity 100.0; 32.70 deg, intensity 26.5; 38.08 deg, intensity 37.4; 38.52 deg, intensity 82.0; 42.03 deg, intensity 26.2; 51.40 deg, intensity 30.5; 55.28 deg, intensity 24.6; 55.62 deg, intensity 28.0; 65.40 deg, intensity 25.8

Atomic structure:
Unit cell a=4.674 b=4.674 c=5.478 alpha=90.00 beta=90.00 gamma=90.00
Fractional positions:
Pr: 0.000 0.000 0.000
Ga: 0.000 0.000 0.500
Ni: 0.500 0.500 0.267
Ni: 0.500 0.500 0.733
Pt: 0.000 0.500 0.500
Pt: 0.500 0.000 0.500

This entry pairs a crystal structure of Tb3Ce2Th2 with its calculated XRD peak list. Radiation: Cu Kα (weighted mean of Kα1 and Kα2). Structure: a crystal structure in Alexandria, relaxed with PBE.
Neutral-atom scattering factors, no anomalous dispersion.

Principal peaks in the range 2θ = 15–90°, sorted by position:
29.96 deg, intensity 64.9; 30.42 deg, intensity 62.1; 32.96 deg, intensity 100.0; 33.10 deg, intensity 99.5; 43.22 deg, intensity 48.8; 51.33 deg, intensity 14.2; 55.17 deg, intensity 47.0; 55.60 deg, intensity 23.3; 55.88 deg, intensity 22.7; 60.61 deg, intensity 25.9

Atomic structure:
Unit cell a=5.485 b=5.485 c=9.003 alpha=113.14 beta=113.14 gamma=65.89
Fractional positions:
Tb: 0.000 0.000 0.000
Tb: 0.144 0.144 0.430
Tb: 0.856 0.856 0.570
Ce: 0.434 0.434 0.286
Ce: 0.566 0.566 0.714
Th: 0.294 0.294 0.867
Th: 0.706 0.706 0.133